TbHo4Se5: simulated X-ray diffraction stick pattern (copper Kα), based on the PBE geometry in Alexandria.

Atomic structure:
Cell: 4.057 4.057 28.835 Å, 90.00 90.00 90.00°
Space group I4/mmm (No. 139)
One atom of each set of equivalent atoms:
Tb1 0.000 0.000 0.000
Ho1 0.000 0.000 0.203
Ho2 0.000 0.000 0.402
Se1 0.000 0.000 0.102
Se2 0.000 0.000 0.302
Se3 0.000 0.000 0.500

Most intense lines, 5° ≤ 2θ ≤ 70°, low angle first:
two_theta  I_rel  index
26.87  33  1 0 5
31.01  50  0 0 10
31.18  100  1 1 0
44.55  73  1 1 10
44.68  37  2 0 0
55.38  38  2 0 10